Diffraction record for LaCrBiO6. The X-ray diffraction stick pattern is calculated, not measured: it uses a crystal structure in Alexandria, relaxed with PBE+U and Cu Kα.
No peak broadening, texture or thermal motion is included.

Top 10 peaks for 2θ = 5–70°, by angle:
(0 1 1), 16.9°, d 5.237, intensity 44; (1 0 0), 18.6°, d 4.769, intensity 86; (1 1 -1), 20.4°, d 4.364, intensity 37; (1 1 0), 22.0°, d 4.033, intensity 32; (1 1 -2), 25.4°, d 3.504, intensity 100; (0 1 2), 27.2°, d 3.274, intensity 87; (1 2 -1), 28.9°, d 3.085, intensity 50; (1 2 0), 30.2°, d 2.961, intensity 38; (0 3 1), 37.8°, d 2.380, intensity 33; (2 1 0), 39.6°, d 2.275, intensity 68

Atomic structure:
```
LaCrBiO6
1.0
5.4483 0.0000 0.0000
0.0000 7.5566 0.0000
-4.0150 0.0000 7.2653
La Cr Bi O
2 2 2 12
direct
0.0000 0.0555 0.0000
0.0000 0.9445 0.5000
0.3422 0.2643 0.8140
0.3422 0.7357 0.3140
0.8568 0.4180 0.2143
0.8568 0.5820 0.7143
0.0138 0.1608 0.2991
0.0138 0.8392 0.7991
0.2898 0.4827 0.7526
0.2898 0.5173 0.2526
0.4081 0.2290 0.0333
0.4081 0.7710 0.5333
0.4674 0.1036 0.7301
0.4674 0.8964 0.2301
0.7872 0.3444 0.9472
0.7872 0.6556 0.4472
0.9985 0.1995 0.6996
0.9985 0.8005 0.1996
```